Structure and calculated X-ray diffraction stick pattern of Rb2Cd7Ag (a PBE-relaxed structure; Cu Kα, 1.54184 Å).

Principal peaks in the range 2θ from 10° to 90°, in order of falling intensity:
29.00 deg, 3.079 Å, I 100, hkl 1 1 2
35.19 deg, 2.550 Å, I 87, hkl 2 0 0
28.61 deg, 3.120 Å, I 60, hkl 1 0 3
39.40 deg, 2.287 Å, I 58, hkl 1 1 4
45.96 deg, 1.975 Å, I 32, hkl 2 1 3
50.61 deg, 1.803 Å, I 31, hkl 2 2 0
59.39 deg, 1.556 Å, I 25, hkl 3 1 2
65.97 deg, 1.416 Å, I 24, hkl 3 1 4
14.98 deg, 5.915 Å, I 23, hkl 0 0 2
42.10 deg, 2.146 Å, I 22, hkl 1 0 5

Crystal structure
```
Rb2Cd7Ag
1.0
5.101 0.000 0.000
0.000 5.101 0.000
0.000 0.000 11.830
Rb Cd Ag
2 7 1
direct
0.000 0.500 0.244 Rb
0.500 0.000 0.756 Rb
0.000 0.000 0.000 Cd
0.000 0.000 0.500 Cd
0.000 0.500 0.632 Cd
0.000 0.500 0.879 Cd
0.500 0.000 0.121 Cd
0.500 0.000 0.368 Cd
0.500 0.500 0.500 Cd
0.500 0.500 0.000 Ag
```